1.
Diffraction record for Y2Mn17C3. The X-ray diffraction stick pattern is simulated, not measured: it uses a structure optimized by DFT (PBE) and Cu Kα.
No peak broadening, texture or thermal motion is included.

Main lines, in order of rising 2θ (15 to 90 degrees two-theta):
d [Å], I_rel
2.970, 27
2.464, 31
2.210, 50
2.134, 88
2.117, 100
2.068, 43
1.963, 21
1.897, 42
1.804, 22
1.232, 23

Structure:
abc: 8.5373 8.5373 8.2726
angles: 90.00 90.00 120.00
Element x y z (fractional)
1 Y 0.0000 0.0000 0.2500
2 Y 0.0000 0.0000 0.7500
3 Y 0.3333 0.6667 0.2500
4 Y 0.6667 0.3333 0.7500
5 Mn 0.0000 0.5000 0.0000
6 Mn 0.0000 0.5000 0.5000
7 Mn 0.0588 0.3872 0.7500
8 Mn 0.0588 0.6716 0.7500
9 Mn 0.1714 0.3428 0.0230
10 Mn 0.1714 0.3428 0.4770
11 Mn 0.1714 0.8286 0.0230
12 Mn 0.1714 0.8286 0.4770
13 Mn 0.3284 0.3872 0.7500
14 Mn 0.3284 0.9412 0.7500
15 Mn 0.3333 0.6667 0.6096
16 Mn 0.3333 0.6667 0.8904
17 Mn 0.3428 0.1714 0.5230
18 Mn 0.3428 0.1714 0.9770
19 Mn 0.3872 0.0588 0.2500
20 Mn 0.3872 0.3284 0.2500
21 Mn 0.5000 0.0000 0.0000
22 Mn 0.5000 0.0000 0.5000
23 Mn 0.5000 0.5000 0.0000
24 Mn 0.5000 0.5000 0.5000
25 Mn 0.6128 0.6716 0.7500
26 Mn 0.6128 0.9412 0.7500
27 Mn 0.6572 0.8286 0.0230
28 Mn 0.6572 0.8286 0.4770
29 Mn 0.6667 0.3333 0.1096
30 Mn 0.6667 0.3333 0.3904
31 Mn 0.6716 0.0588 0.2500
32 Mn 0.6716 0.6128 0.2500
33 Mn 0.8286 0.1714 0.5230
34 Mn 0.8286 0.1714 0.9770
35 Mn 0.8286 0.6572 0.5230
36 Mn 0.8286 0.6572 0.9770
37 Mn 0.9412 0.3284 0.2500
38 Mn 0.9412 0.6128 0.2500
39 C 0.1644 0.3288 0.2500
40 C 0.1644 0.8356 0.2500
41 C 0.3288 0.1644 0.7500
42 C 0.6712 0.8356 0.2500
43 C 0.8356 0.1644 0.7500
44 C 0.8356 0.6712 0.7500

---

2.
Diffraction record for Pm3Gd. The X-ray diffraction stick pattern is simulated, not measured: it uses a structure optimized by DFT (PBE) and Cu Kα.
No peak broadening, texture or thermal motion is included.

Main lines, in order of rising 2θ (15 to 90 degrees two-theta):
d [Å], I_rel
2.973, 100
2.585, 17
2.570, 34
1.823, 24
1.818, 12
1.557, 15
1.551, 29
1.487, 12
1.182, 12
1.180, 6

Structure:
abc: 6.3194 6.3194 6.3194
angles: 132.00 132.00 70.23
Element x y z (fractional)
1 Pm 0.0000 0.0000 0.0000
2 Pm 0.2500 0.7500 0.5000
3 Pm 0.7500 0.2500 0.5000
4 Gd 0.5000 0.5000 0.0000